[1]
This entry pairs a crystal structure of SmAl10Ru2 with its theoretical powder XRD pattern. Radiation: Cu Ka. Structure: a PBE-relaxed structure.
Kinematic intensities with the Lorentz-polarization factor, no thermal factor.

Most intense lines, 10 to 80 degrees two-theta, low angle first:
index, d [Å], Position (°2θ), intensity
1 1 1, 5.477, 16.18, 25
0 2 0, 5.141, 17.25, 37
0 2 2, 3.418, 26.07, 33
2 0 2, 3.236, 27.57, 54
2 2 1, 3.200, 27.88, 31
0 2 3, 2.630, 34.09, 30
3 1 2, 2.461, 36.50, 27
0 0 4, 2.296, 39.24, 32
4 0 0, 2.279, 39.54, 74
0 4 2, 2.241, 40.24, 100
2 4 4, 1.603, 57.47, 25
4 4 2, 1.599, 57.66, 25

Structural model:
Lattice parameters (Å, degrees): 9.122 10.282 9.183 90.00 90.00 90.00
Space group Cmcm (No. 63)
One atom of each set of equivalent atoms:
Sm1 0.000 0.125 0.250 [4 per cell]
Al1 0.000 0.158 0.600 [8 per cell]
Al2 0.000 0.377 0.049 [8 per cell]
Al3 0.148 0.371 0.750 [8 per cell]
Al4 0.224 0.363 0.250 [8 per cell]
Al5 0.228 0.000 0.000 [8 per cell]
Ru1 0.250 0.250 0.000 [8 per cell]

[2]
This entry pairs a crystal structure of Sm3Al12Ru4 with its theoretical powder XRD pattern. Radiation: Cu Ka. Structure: a PBE-relaxed structure.
Kinematic intensities with the Lorentz-polarization factor, no thermal factor.

Most intense lines, 10 to 80 degrees two-theta, low angle first:
index, d [Å], Position (°2θ), intensity
1 0 1, 5.991, 14.79, 34
2 0 1, 3.557, 25.03, 56
2 0 2, 2.996, 29.83, 100
2 1 0, 2.894, 30.90, 19
2 1 2, 2.480, 36.22, 32
3 0 1, 2.467, 36.42, 30
2 0 3, 2.458, 36.55, 65
0 0 4, 2.405, 37.39, 37
2 2 0, 2.210, 40.82, 85
4 0 2, 1.779, 51.37, 19
2 2 4, 1.628, 56.55, 39
2 0 6, 1.479, 62.83, 19

Structural model:
Lattice parameters (Å, degrees): 8.8418 8.8418 9.6205 90.00 90.00 120.00
Space group P6_3/mmc (No. 194)
One atom of each set of equivalent atoms:
Sm1 0.1927 0.3855 0.2500 [6 per cell]
Al1 0.0000 0.0000 0.2500 [2 per cell]
Al2 0.1233 0.5617 0.7500 [6 per cell]
Al3 0.1621 0.3243 0.5763 [12 per cell]
Al4 0.3333 0.6667 0.0120 [4 per cell]
Ru1 0.0000 0.0000 0.0000 [2 per cell]
Ru2 0.0000 0.5000 0.0000 [6 per cell]

[3]
This entry pairs a crystal structure of Tb3Al12Ru4 with its theoretical powder XRD pattern. Radiation: Cu Ka. Structure: a PBE-relaxed structure.
Kinematic intensities with the Lorentz-polarization factor, no thermal factor.

Most intense lines, 10 to 80 degrees two-theta, low angle first:
index, d [Å], Position (°2θ), intensity
1 0 1, 5.988, 14.79, 38
2 0 1, 3.557, 25.03, 58
2 0 2, 2.994, 29.84, 100
2 1 0, 2.895, 30.89, 21
2 1 2, 2.479, 36.23, 34
3 0 1, 2.468, 36.41, 32
2 0 3, 2.456, 36.59, 66
0 0 4, 2.400, 37.47, 36
2 2 0, 2.211, 40.81, 83
4 0 2, 1.779, 51.37, 18
2 2 4, 1.626, 56.59, 37
2 0 6, 1.476, 62.95, 18

Structural model:
Lattice parameters (Å, degrees): 8.8450 8.8450 9.6008 90.00 90.00 120.00
Space group P6_3/mmc (No. 194)
One atom of each set of equivalent atoms:
Tb1 0.1934 0.3869 0.2500 [6 per cell]
Al1 0.0000 0.0000 0.2500 [2 per cell]
Al2 0.1222 0.5611 0.7500 [6 per cell]
Al3 0.1619 0.3237 0.5787 [12 per cell]
Al4 0.3333 0.6667 0.0133 [4 per cell]
Ru1 0.0000 0.0000 0.0000 [2 per cell]
Ru2 0.0000 0.5000 0.0000 [6 per cell]